Simulated X-ray powder pattern of Li2CoCuAs2 for Cu Kα (weighted mean of Kα1 and Kα2), from DFT lattice parameters and positions (PBE).
Intensities are scaled so that the largest is 100.

Largest 10 diffraction maxima, low angle first, 5° ≤ 2θ ≤ 70°:
2θ (°)  I_rel  index
14.49  92.8  0 0 1
27.62  96.0  1 0 1
36.50  36.4  1 1 1
44.89  100.0  1 1 2
47.84  42.7  2 0 0
50.25  14.4  2 0 1
50.83  19.1  1 0 3
56.13  25.7  2 1 1
56.67  10.8  1 1 3
69.97  13.0  2 2 0

Structural model:
a b c (Å): 3.8030 3.8030 6.1140
angles (deg): 90.00 90.00 90.00
Fractional coordinates of all 6 atoms:
1 Li 0.0000 0.5000 0.1724
2 Li 0.5000 0.0000 0.8276
3 Co 0.5000 0.5000 0.5000
4 Cu 0.0000 0.0000 0.5000
5 As 0.0000 0.5000 0.7437
6 As 0.5000 0.0000 0.2563